Structure and simulated powder XRD pattern of Li2Pr2Cu15 (a PBE-relaxed structure; Cu Ka).
Lines closer than 0.1° are merged.

Most intense lines, 2θ from 10° to 80°, sorted by position:
- 2θ = 24.73°, I = 14, hkl 0 2 1
- 2θ = 29.49°, I = 30, hkl 1 1 3
- 2θ = 35.87°, I = 22, hkl 3 0 0
- 2θ = 37.07°, I = 14, hkl 0 2 4
- 2θ = 41.66°, I = 39, hkl 2 2 0
- 2θ = 41.93°, I = 100, hkl 3 0 3
- 2θ = 42.71°, I = 43, hkl 0 0 6
- 2θ = 47.09°, I = 27, hkl 2 2 3
- 2θ = 60.58°, I = 17, hkl 1 4 3
- 2θ = 61.19°, I = 25, hkl 2 2 6
- 2θ = 68.61°, I = 18, hkl 3 3 3
- 2θ = 76.04°, I = 14, hkl 6 0 0

Structure:
```
data_Li2Pr2Cu15
_space_group_name_H-M_alt 'R -3 m'
_space_group_IT_number 166
_space_group_name_Hall '-R 3 2"'
_cell_length_a 8.6713
_cell_length_b 8.6713
_cell_length_c 12.7037
_cell_angle_alpha 90.00
_cell_angle_beta 90.00
_cell_angle_gamma 120.00
loop_
_atom_site_label
_atom_site_type_symbol
_atom_site_fract_x
_atom_site_fract_y
_atom_site_fract_z
Li1 Li 0.0000 0.0000 0.0928
Pr1 Pr 0.0000 0.0000 0.3450
Cu1 Cu 0.0000 0.2986 0.0000
Cu2 Cu 0.0000 0.5000 0.5000
Cu3 Cu 0.0006 0.5003 0.8422
```


Structure and simulated powder XRD pattern of Dy2ErAg (a PBE-relaxed structure; Cu Ka).
Lines closer than 0.1° are merged.

Most intense lines, 2θ from 10° to 80°, sorted by position:
- 2θ = 29.07°, I = 12, hkl 1 0 1
- 2θ = 29.51°, I = 22, hkl 0 1 2
- 2θ = 31.19°, I = 21, hkl 1 0 4
- 2θ = 32.40°, I = 100, hkl 0 1 5
- 2θ = 34.73°, I = 30, hkl 0 0 12
- 2θ = 35.45°, I = 52, hkl 1 0 7
- 2θ = 41.28°, I = 21, hkl 1 0 10
- 2θ = 51.27°, I = 36, hkl 1 1 0
- 2θ = 58.83°, I = 18, hkl 0 1 17
- 2θ = 61.97°, I = 15, hkl 2 0 5
- 2θ = 63.42°, I = 31, hkl 1 1 12
- 2θ = 63.88°, I = 9, hkl 0 2 7

Structure:
```
data_Dy2ErAg
_space_group_name_H-M_alt 'R 3 m'
_space_group_IT_number 160
_space_group_name_Hall 'R 3 -2"'
_cell_length_a 3.5641
_cell_length_b 3.5641
_cell_length_c 30.9931
_cell_angle_alpha 90.00
_cell_angle_beta 90.00
_cell_angle_gamma 120.00
loop_
_atom_site_label
_atom_site_type_symbol
_atom_site_fract_x
_atom_site_fract_y
_atom_site_fract_z
Dy1 Dy 0.0000 0.0000 0.0000
Dy2 Dy 0.0000 0.0000 0.1822
Er1 Er 0.0000 0.0000 0.7579
Ag1 Ag 0.0000 0.0000 0.5909
```


Structure and simulated powder XRD pattern of Sm3YHo2Te6 (a PBE-relaxed structure; Cu Ka).
Lines closer than 0.1° are merged.

Most intense lines, 2θ from 10° to 80°, sorted by position:
- 2θ = 28.72°, I = 100, hkl 6 0 0
- 2θ = 40.77°, I = 13, hkl 2 0 -4
- 2θ = 40.91°, I = 25, hkl 7 1 -2
- 2θ = 41.25°, I = 25, hkl 5 1 2
- 2θ = 41.35°, I = 12, hkl 0 2 0
- 2θ = 50.35°, I = 7, hkl 8 0 -4
- 2θ = 50.93°, I = 7, hkl 4 0 4
- 2θ = 51.14°, I = 13, hkl 6 2 0
- 2θ = 59.49°, I = 13, hkl 2 2 -4
- 2θ = 66.94°, I = 6, hkl 3 1 -6
- 2θ = 67.63°, I = 11, hkl 4 2 4
- 2θ = 75.09°, I = 11, hkl 10 0 4

Structure:
```
data_Sm3YHo2Te6
_space_group_name_H-M_alt 'C 1 2/m 1'
_space_group_IT_number 12
_space_group_name_Hall '-C 2y'
_cell_length_a 19.206
_cell_length_b 4.367
_cell_length_c 8.854
_cell_angle_alpha 90.00
_cell_angle_beta 103.97
_cell_angle_gamma 90.00
loop_
_atom_site_label
_atom_site_type_symbol
_atom_site_fract_x
_atom_site_fract_y
_atom_site_fract_z
Sm1 Sm 0.000 0.000 0.000
Sm2 Sm 0.165 0.500 0.333
Y1 Y 0.000 0.000 0.500
Ho1 Ho 0.166 0.500 0.833
Te1 Te 0.003 0.500 0.747
Te2 Te 0.166 0.000 0.589
Te3 Te 0.169 0.000 0.078
```